This entry pairs a crystal structure of Er2Ga3Ni with its calculated X-ray powder pattern. Radiation: Cu Kα X-rays. Structure: a PBE-relaxed structure.
Lines closer than 0.1° are merged.

Top 8 peaks for 10° ≤ 2θ ≤ 90°, in order of rising 2θ:
| index | 2theta | I (rel.) |
| --- | --- | --- |
| 1 1 0 | 23.7 | 35 |
| 3 1 -1 | 34.4 | 35 |
| 0 0 2 | 34.6 | 30 |
| 1 1 -2 | 34.8 | 100 |
| 3 1 -2 | 35.2 | 72 |
| 4 0 -2 | 35.5 | 37 |
| 0 2 0 | 41.7 | 53 |
| 3 1 0 | 41.9 | 69 |

Cell and atoms:
a = 10.1238 Å, b = 4.3361 Å, c = 7.0260 Å
α = 90.00°, β = 132.51°, γ = 90.00°
Space group Cm (No. 8)
Asymmetric unit:
Er1 0.0000 0.0000 0.0000 [2 per cell]
Er2 0.0879 0.0000 0.5889 [2 per cell]
Ga1 0.2124 0.5000 0.3898 [2 per cell]
Ga2 0.3726 0.0000 0.1750 [2 per cell]
Ga3 0.4009 0.0000 0.6169 [2 per cell]
Ni1 0.2178 0.5000 0.0176 [2 per cell]

=====

This entry pairs a crystal structure of LiSnPb with its calculated X-ray powder pattern. Radiation: Cu Kα X-rays. Structure: a PBE-relaxed structure.
Lines closer than 0.1° are merged.

Top 8 peaks for 10° ≤ 2θ ≤ 90°, in order of rising 2θ:
| index | 2theta | I (rel.) |
| --- | --- | --- |
| 0 1 0 | 18.4 | 71 |
| 3 0 1 | 24.1 | 100 |
| 2 0 2 | 26.2 | 47 |
| 2 1 2 | 32.2 | 74 |
| 4 1 0 | 34.4 | 49 |
| 3 1 2 | 36.1 | 71 |
| 0 2 0 | 37.2 | 56 |
| 1 1 3 | 38.8 | 45 |

Cell and atoms:
a = 12.4021 Å, b = 4.8319 Å, c = 8.1351 Å
α = 90.00°, β = 90.00°, γ = 90.00°
Space group Pmma (No. 51)
Asymmetric unit:
Li1 0.1252 0.0000 0.2058 [4 per cell]
Li2 0.2500 0.0000 0.8720 [2 per cell]
Sn1 0.1027 0.0000 0.5859 [4 per cell]
Sn2 0.2500 0.5000 0.0676 [2 per cell]
Pb1 0.0571 0.5000 0.8205 [4 per cell]
Pb2 0.2500 0.5000 0.4505 [2 per cell]

=====

This entry pairs a crystal structure of U2PdSe4 with its calculated X-ray powder pattern. Radiation: Cu Kα X-rays. Structure: a PBE-relaxed structure.
Lines closer than 0.1° are merged.

Top 8 peaks for 10° ≤ 2θ ≤ 90°, in order of rising 2θ:
| index | 2theta | I (rel.) |
| --- | --- | --- |
| 0 2 0 | 17.2 | 39 |
| 0 0 1 | 20.2 | 34 |
| 1 1 1 | 25.2 | 34 |
| 2 1 1 | 33.1 | 100 |
| 2 2 1 | 36.5 | 64 |
| 0 0 2 | 41.0 | 38 |
| 2 3 1 | 41.6 | 37 |
| 1 5 1 | 50.4 | 35 |

Cell and atoms:
a = 7.2711 Å, b = 10.3165 Å, c = 4.4033 Å
α = 90.00°, β = 90.00°, γ = 90.00°
Space group Pbam (No. 55)
Asymmetric unit:
U1 0.0845 0.2139 0.0000 [4 per cell]
Pd1 0.0000 0.5000 0.5000 [2 per cell]
Se1 0.1471 0.7211 0.5000 [4 per cell]
Se2 0.2461 0.9609 0.0000 [4 per cell]

=====

This entry pairs a crystal structure of Tl4SbPb2 with its calculated X-ray powder pattern. Radiation: Cu Kα X-rays. Structure: a PBE-relaxed structure.
Lines closer than 0.1° are merged.

Top 8 peaks for 10° ≤ 2θ ≤ 90°, in order of rising 2θ:
| index | 2theta | I (rel.) |
| --- | --- | --- |
| 2 2 1 | 31.8 | 100 |
| 0 4 0 | 34.5 | 20 |
| 4 0 0 | 37.8 | 13 |
| 0 0 2 | 38.3 | 17 |
| 0 4 2 | 52.5 | 16 |
| 4 0 2 | 54.9 | 10 |
| 2 6 1 | 60.1 | 13 |
| 2 2 3 | 65.2 | 13 |

Cell and atoms:
a = 9.5209 Å, b = 10.4104 Å, c = 4.6976 Å
α = 90.00°, β = 90.00°, γ = 90.00°
Space group Cmmm (No. 65)
Asymmetric unit:
Tl1 0.2107 0.0000 0.0000 [4 per cell]
Tl2 0.2500 0.2500 0.5000 [4 per cell]
Sb1 0.0000 0.5000 0.5000 [2 per cell]
Pb1 0.0000 0.2752 0.0000 [4 per cell]

=====

This entry pairs a crystal structure of TmPu2Hg3 with its calculated X-ray powder pattern. Radiation: Cu Kα X-rays. Structure: a PBE-relaxed structure.
Lines closer than 0.1° are merged.

Top 8 peaks for 10° ≤ 2θ ≤ 90°, in order of rising 2θ:
| index | 2theta | I (rel.) |
| --- | --- | --- |
| 1 0 3 | 33.6 | 100 |
| 1 1 0 | 35.0 | 46 |
| 0 0 6 | 46.1 | 10 |
| 2 0 0 | 50.3 | 17 |
| 1 1 6 | 59.2 | 19 |
| 2 1 3 | 61.9 | 36 |
| 2 0 6 | 70.6 | 11 |
| 3 1 0 | 84.5 | 8 |

Cell and atoms:
a = 3.6267 Å, b = 3.6267 Å, c = 11.8067 Å
α = 90.00°, β = 90.00°, γ = 90.00°
Space group P4/mmm (No. 123)
Asymmetric unit:
Tm1 0.0000 0.0000 0.0000 [1 per cell]
Pu1 0.0000 0.0000 0.3277 [2 per cell]
Hg1 0.5000 0.5000 0.1526 [2 per cell]
Hg2 0.5000 0.5000 0.5000 [1 per cell]

=====

This entry pairs a crystal structure of SO4 with its calculated X-ray powder pattern. Radiation: Cu Kα X-rays. Structure: a PBE-relaxed structure.
Lines closer than 0.1° are merged.

Top 8 peaks for 10° ≤ 2θ ≤ 90°, in order of rising 2θ:
| index | 2theta | I (rel.) |
| --- | --- | --- |
| 0 0 2 | 21.0 | 69 |
| 1 1 0 | 21.3 | 96 |
| 2 0 0 | 21.7 | 100 |
| 2 0 -2 | 23.5 | 42 |
| 1 1 1 | 25.6 | 19 |
| 1 1 -2 | 26.8 | 78 |
| 3 1 -1 | 35.4 | 42 |
| 1 1 -4 | 43.8 | 17 |

Cell and atoms:
a = 8.9324 Å, b = 4.8577 Å, c = 9.2358 Å
α = 90.00°, β = 113.36°, γ = 90.00°
Space group C2/c (No. 15)
Asymmetric unit:
S1 0.0000 0.0834 0.2500 [4 per cell]
O1 0.0329 0.2516 0.3933 [8 per cell]
O2 0.1503 0.0849 0.7968 [8 per cell]

=====

This entry pairs a crystal structure of SmC6N8 with its calculated X-ray powder pattern. Radiation: Cu Kα X-rays. Structure: a PBE-relaxed structure.
Lines closer than 0.1° are merged.

Top 8 peaks for 10° ≤ 2θ ≤ 90°, in order of rising 2θ:
| index | 2theta | I (rel.) |
| --- | --- | --- |
| 1 0 1 | 16.6 | 100 |
| 0 1 2 | 21.2 | 67 |
| 0 0 3 | 22.9 | 41 |
| 1 1 0 | 25.7 | 35 |
| 1 0 4 | 34.2 | 25 |
| 2 -1 3 | 34.7 | 40 |
| 2 1 1 | 40.5 | 33 |
| 1 2 2 | 42.8 | 26 |

Cell and atoms:
a = 6.9276 Å, b = 6.9276 Å, c = 11.6728 Å
α = 90.00°, β = 90.00°, γ = 120.00°
Space group R3 (No. 146, hexagonal axes)
Asymmetric unit:
Sm1 0.0000 0.0000 0.0000 [3 per cell]
C1 0.0960 0.5432 0.4332 [9 per cell]
C2 0.2130 0.4318 0.0966 [9 per cell]
N1 0.0000 0.0000 0.4370 [3 per cell]
N2 0.0000 0.0000 0.7724 [3 per cell]
N3 0.0005 0.3400 0.0573 [9 per cell]
N4 0.0011 0.7096 0.1138 [9 per cell]

=====

This entry pairs a crystal structure of CaPr5In3 with its calculated X-ray powder pattern. Radiation: Cu Kα X-rays. Structure: a PBE-relaxed structure.
Lines closer than 0.1° are merged.

Top 8 peaks for 10° ≤ 2θ ≤ 90°, in order of rising 2θ:
| index | 2theta | I (rel.) |
| --- | --- | --- |
| 1 1 2 | 31.6 | 87 |
| 3 0 0 | 32.0 | 100 |
| 3 0 2 | 41.4 | 16 |
| 2 2 2 | 45.6 | 31 |
| 4 1 2 | 56.8 | 32 |
| 3 3 0 | 57.0 | 19 |
| 3 0 4 | 62.7 | 28 |
| 3 3 4 | 81.1 | 13 |

Cell and atoms:
a = 9.6938 Å, b = 9.6938 Å, c = 6.9812 Å
α = 90.00°, β = 90.00°, γ = 120.00°
Space group P6_3/mcm (No. 193)
Asymmetric unit:
Ca1 0.0000 0.0000 0.0000 [2 per cell]
Pr1 0.0000 0.3349 0.2500 [6 per cell]
Pr2 0.3333 0.6667 0.0000 [4 per cell]
In1 0.0000 0.3308 0.7500 [6 per cell]